Starting from a cell relaxed with PBE, the XRD peak list of NpAl2GaGe was calculated for a wavelength of 1.5418 Å.

Peak list (10 most intense, 10° ≤ 2θ ≤ 90°, in order of rising 2θ)
| 2theta | I_rel |
| --- | --- |
| 17.45 | 32 |
| 19.33 | 57 |
| 25.58 | 52 |
| 30.71 | 88 |
| 35.91 | 100 |
| 36.70 | 36 |
| 37.88 | 48 |
| 39.24 | 28 |
| 44.73 | 30 |
| 45.80 | 31 |

Structural model:
a b c (Å): 5.4704 5.4704 9.1841
angles (deg): 90.00 90.00 136.52
Fractional coordinates of all 10 atoms:
Np (0.0779, 0.9221, 0.7500)
Np (0.9221, 0.0779, 0.2500)
Al (0.2181, 0.7819, 0.0881)
Al (0.2181, 0.7819, 0.4119)
Al (0.7819, 0.2181, 0.5881)
Al (0.7819, 0.2181, 0.9119)
Ga (0.5000, 0.5000, 0.0000)
Ga (0.5000, 0.5000, 0.5000)
Ge (0.3626, 0.6374, 0.7500)
Ge (0.6374, 0.3626, 0.2500)